Record 1
Starting from DFT lattice parameters and positions (PBE), the PXRD pattern of RbMgSbO3 was calculated for Cu Kα (weighted mean of Kα1 and Kα2).

Principal peaks in the range 2θ = 10–90°, by angle:
2θ (°)  Rel. int.
26.12  100
28.93  67
32.73  42
41.37  42
44.24  42
53.73  37

Crystal structure
```
RbMgSbO3
1.0
4.3647 0.0000 0.0000
0.0000 4.3647 0.0000
0.0000 0.0000 5.4716
Rb Mg Sb O
1 1 1 3
direct
0.0000 0.0000 0.0000
0.0000 0.0000 0.5000
0.5000 0.5000 0.5000
0.0000 0.5000 0.5000
0.5000 0.0000 0.5000
0.5000 0.5000 0.0000
```



Record 2
Starting from DFT lattice parameters and positions (PBE), the PXRD pattern of RbMg6SbO8 was calculated for Cu Kα (weighted mean of Kα1 and Kα2).

Principal peaks in the range 2θ = 10–90°, by angle:
2θ (°)  Rel. int.
18.97  60
27.44  50
33.57  62
38.48  100
39.89  44
56.63  56

Crystal structure
```
RbMg6SbO8
1.0
4.6789 0.0000 0.0000
0.0000 4.6789 0.0000
0.0000 0.0000 9.0391
Rb Mg Sb O
1 6 1 8
direct
0.0000 0.0000 0.0000
0.0000 0.5000 0.2352
0.0000 0.5000 0.7648
0.5000 0.0000 0.2352
0.5000 0.0000 0.7648
0.5000 0.5000 0.0000
0.5000 0.5000 0.5000
0.0000 0.0000 0.5000
0.0000 0.0000 0.2676
0.0000 0.0000 0.7324
0.0000 0.5000 0.0000
0.0000 0.5000 0.5000
0.5000 0.0000 0.0000
0.5000 0.0000 0.5000
0.5000 0.5000 0.2523
0.5000 0.5000 0.7477
```



Record 3
Starting from DFT lattice parameters and positions (PBE), the PXRD pattern of RbMg6SiO8 was calculated for Cu Kα (weighted mean of Kα1 and Kα2).

Principal peaks in the range 2θ = 10–90°, by angle:
2θ (°)  Rel. int.
10.12  27
34.57  35
39.52  100
41.34  41
57.13  30
58.52  52

Crystal structure
```
RbMg6SiO8
1.0
4.5603 0.0000 0.0000
0.0000 4.5603 0.0000
0.0000 0.0000 8.7366
Rb Mg Si O
1 6 1 8
direct
0.0000 0.0000 0.0000
0.0000 0.0000 0.5000
0.0000 0.5000 0.2557
0.0000 0.5000 0.7443
0.5000 0.0000 0.2557
0.5000 0.0000 0.7443
0.5000 0.5000 0.5000
0.5000 0.5000 0.0000
0.0000 0.0000 0.2817
0.0000 0.0000 0.7183
0.0000 0.5000 0.0000
0.0000 0.5000 0.5000
0.5000 0.0000 0.0000
0.5000 0.0000 0.5000
0.5000 0.5000 0.2342
0.5000 0.5000 0.7658
```



Record 4
Starting from DFT lattice parameters and positions (PBE), the PXRD pattern of RbMg6SiO8 was calculated for Cu Kα (weighted mean of Kα1 and Kα2).

Principal peaks in the range 2θ = 10–90°, by angle:
2θ (°)  Rel. int.
34.50  34
38.35  100
43.26  31
55.36  30
59.17  44
72.74  22

Crystal structure
```
RbMg6SiO8
1.0
4.6942 0.0000 0.0000
0.0000 4.6942 0.0000
0.0000 0.0000 8.3654
Rb Mg Si O
1 6 1 8
direct
0.0000 0.0000 0.0000
0.0000 0.5000 0.2490
0.0000 0.5000 0.7510
0.5000 0.0000 0.2490
0.5000 0.0000 0.7510
0.5000 0.5000 0.0000
0.5000 0.5000 0.5000
0.0000 0.0000 0.5000
0.0000 0.0000 0.2981
0.0000 0.0000 0.7019
0.0000 0.5000 0.0000
0.0000 0.5000 0.5000
0.5000 0.0000 0.0000
0.5000 0.0000 0.5000
0.5000 0.5000 0.2521
0.5000 0.5000 0.7479
```